1.
This entry pairs a crystal structure of SrDyAl6 with its calculated powder diffractogram. Radiation: CuKα. Structure: the PBE geometry in Alexandria.

Principal peaks in the range 10 to 90 degrees two-theta, in order of rising 2θ:
index, 2θ/deg, d/Å, I/Imax
0 0 1, 14.39, 6.157, 39.9
0 1 1, 20.20, 4.397, 37.1
1 1 0, 24.52, 3.631, 71.6
1 0 1, 24.69, 3.606, 35.1
1 1 1, 28.54, 3.127, 92.0
0 2 1, 32.00, 2.797, 60.1
0 1 2, 32.39, 2.764, 61.3
1 0 2, 35.46, 2.532, 81.6
1 2 1, 38.00, 2.368, 100.0
2 0 0, 40.55, 2.225, 40.1
2 2 1, 52.56, 1.741, 29.2
2 1 2, 52.84, 1.733, 43.1

Cell and atoms:
Cell lengths 4.450, 6.280, 6.157 Å; angles 90.00, 90.00, 90.00 degrees
Space group Pmm2 (No. 25)
Inequivalent atoms, fractional coordinates:
Sr 0.000 0.000 0.000 x1
Dy 0.500 0.500 0.226 x1
Al 0.000 0.261 0.478 x2
Al 0.000 0.500 0.871 x1
Al 0.500 0.000 0.404 x1
Al 0.500 0.280 0.744 x2


2.
This entry pairs a crystal structure of NaSr3Tl4 with its calculated powder diffractogram. Radiation: CuKα. Structure: the PBE geometry in Alexandria.

Principal peaks in the range 10 to 90 degrees two-theta, in order of rising 2θ:
index, 2θ/deg, d/Å, I/Imax
1 0 0, 21.82, 4.073, 28.0
0 0 4, 22.36, 3.976, 11.9
1 1 0, 31.05, 2.880, 54.9
1 0 4, 31.44, 2.845, 100.0
1 1 4, 38.60, 2.333, 12.2
2 0 0, 44.49, 2.037, 20.6
0 0 8, 45.64, 1.988, 8.1
2 1 4, 55.49, 1.656, 40.6
1 1 8, 56.22, 1.636, 16.2
2 0 8, 65.63, 1.423, 10.6
3 1 0, 73.53, 1.288, 9.4
3 0 4, 73.74, 1.285, 8.8

Cell and atoms:
Cell lengths 4.073, 4.073, 15.905 Å; angles 90.00, 90.00, 90.00 degrees
Space group P4/mmm (No. 123)
Inequivalent atoms, fractional coordinates:
Na 0.000 0.000 0.000 x1
Sr 0.000 0.000 0.242 x2
Sr 0.000 0.000 0.500 x1
Tl 0.500 0.500 0.110 x2
Tl 0.500 0.500 0.372 x2


3.
This entry pairs a crystal structure of Pu4IrPt with its calculated powder diffractogram. Radiation: CuKα. Structure: the PBE geometry in Alexandria.

Principal peaks in the range 10 to 90 degrees two-theta, in order of rising 2θ:
index, 2θ/deg, d/Å, I/Imax
0 1 3, 36.97, 2.431, 100.0
1 0 2, 37.12, 2.422, 24.2
0 2 0, 37.72, 2.385, 24.6
1 0 -4, 52.61, 1.740, 8.8
1 2 2, 53.95, 1.699, 17.0
0 0 6, 66.01, 1.415, 4.5
1 2 -4, 66.53, 1.405, 9.8
1 1 5, 66.73, 1.402, 8.5
2 1 1, 66.89, 1.399, 8.4
0 3 3, 67.61, 1.386, 17.8
0 2 6, 78.61, 1.217, 5.5
2 2 -2, 78.82, 1.214, 5.1

Cell and atoms:
Cell lengths 2.978, 4.770, 8.492 Å; angles 90.00, 90.78, 90.00 degrees
Space group Pm (No. 6)
Inequivalent atoms, fractional coordinates:
Pu 0.000 0.000 0.000 x1
Pu 0.012 0.500 0.518 x1
Pu 0.257 0.500 0.853 x1
Pu 0.270 0.000 0.332 x1
Ir 0.647 0.500 0.180 x1
Pt 0.625 0.000 0.671 x1


4.
This entry pairs a crystal structure of PaCdSe4 with its calculated powder diffractogram. Radiation: CuKα. Structure: the PBE geometry in Alexandria.

Principal peaks in the range 10 to 90 degrees two-theta, in order of rising 2θ:
index, 2θ/deg, d/Å, I/Imax
0 1 1, 18.28, 4.853, 51.4
1 1 -1, 22.14, 4.016, 100.0
1 1 1, 22.61, 3.933, 79.8
0 0 2, 25.32, 3.518, 58.1
2 0 0, 25.74, 3.461, 54.4
0 2 0, 26.60, 3.351, 49.4
0 2 2, 37.04, 2.427, 80.2
2 2 0, 37.35, 2.408, 50.9
3 1 -1, 43.03, 2.102, 56.5
1 1 3, 43.29, 2.090, 68.8
3 1 1, 43.82, 2.066, 57.2
1 3 1, 44.64, 2.030, 62.8

Cell and atoms:
Cell lengths 6.925, 6.703, 7.039 Å; angles 90.00, 91.84, 90.00 degrees
Space group P2_1/c (No. 14)
Inequivalent atoms, fractional coordinates:
Pa 0.000 0.000 0.000 x2
Cd 0.500 0.000 0.500 x2
Se 0.137 0.144 0.345 x4
Se 0.374 0.621 0.393 x4


5.
This entry pairs a crystal structure of HgSbPb with its calculated powder diffractogram. Radiation: CuKα. Structure: the PBE geometry in Alexandria.

Principal peaks in the range 10 to 90 degrees two-theta, in order of rising 2θ:
index, 2θ/deg, d/Å, I/Imax
1 1 3, 32.43, 2.761, 100.0
0 2 0, 33.48, 2.676, 23.0
0 0 6, 34.53, 2.598, 21.1
2 0 0, 44.09, 2.054, 10.9
0 2 6, 48.86, 1.864, 16.1
2 2 0, 56.48, 1.629, 11.1
2 0 6, 57.18, 1.611, 10.1
1 3 3, 59.20, 1.561, 18.4
1 1 9, 60.54, 1.529, 16.9
2 2 6, 67.91, 1.380, 12.1
3 1 3, 73.71, 1.285, 9.7
0 4 6, 80.80, 1.189, 11.5

Cell and atoms:
Cell lengths 4.108, 5.352, 15.587 Å; angles 90.00, 90.00, 90.00 degrees
Space group Fmm2 (No. 42)
Inequivalent atoms, fractional coordinates:
Hg 0.000 0.000 0.000 x4
Sb 0.000 0.000 0.662 x4
Pb 0.000 0.000 0.333 x4


6.
This entry pairs a crystal structure of NpScN with its calculated powder diffractogram. Radiation: CuKα. Structure: the PBE geometry in Alexandria.

Principal peaks in the range 10 to 90 degrees two-theta, in order of rising 2θ:
index, 2θ/deg, d/Å, I/Imax
0 2 0, 14.59, 6.072, 83.6
0 2 1, 20.97, 4.236, 15.6
0 4 0, 29.42, 3.036, 39.3
0 0 2, 30.23, 2.956, 24.0
1 1 1, 33.51, 2.674, 100.0
0 2 2, 33.72, 2.658, 59.2
1 3 1, 39.71, 2.270, 47.4
1 5 1, 50.18, 1.818, 21.3
1 1 3, 55.82, 1.647, 24.0
1 5 2, 57.43, 1.605, 15.3
1 3 3, 60.18, 1.538, 14.8
2 2 2, 70.42, 1.337, 14.6

Cell and atoms:
Cell lengths 3.094, 12.144, 5.912 Å; angles 90.00, 90.00, 90.00 degrees
Space group Cmcm (No. 63)
Inequivalent atoms, fractional coordinates:
Np 0.000 0.227 0.250 x4
Sc 0.000 0.500 0.000 x4
N 0.000 0.046 0.250 x4